Theoretical X-ray powder pattern
Compound: K5InMo4O16
Radiation: Cu Ka
Structure: a cell relaxed with PBE+U

Structural model:
```
data_K5InMo4O16
_chemical_formula_sum 'K20 In4 Mo16 O64'
_space_group_name_H-M_alt 'C 1 2/c 1'
_space_group_IT_number 15
_space_group_name_Hall '-C 2yc'
_cell_length_a 14.8639
_cell_length_b 12.3146
_cell_length_c 10.7542
_cell_angle_alpha 90.00
_cell_angle_beta 113.55
_cell_angle_gamma 90.00
loop_
_atom_site_label
_atom_site_fract_x
_atom_site_fract_y
_atom_site_fract_z
K1 0.0000 0.1104 0.2500
K2 0.2090 0.3681 0.5750
K3 0.2173 0.0984 0.0624
In1 0.0000 0.3857 0.7500
Mo1 0.0858 0.3682 0.1301
Mo2 0.1033 0.1341 0.6609
O1 0.0208 0.0938 0.9203
O2 0.0317 0.3174 0.4026
O3 0.0938 0.3997 0.9678
O4 0.1050 0.4935 0.2303
O5 0.1070 0.2713 0.7353
O6 0.1571 0.1329 0.5390
O7 0.1676 0.0333 0.7861
O8 0.1711 0.2638 0.2142
```

Peak list (10 most intense, 10° ≤ 2θ ≤ 80°, sorted by position)
- (2 0 0), 2θ 13.0, rel. 19.4
- (2 2 -1), 2θ 19.1, rel. 11.5
- (2 2 1), 2θ 23.6, rel. 12.4
- (2 0 2), 2θ 26.2, rel. 40.7
- (4 2 -1), 2θ 28.1, rel. 66.4
- (2 2 -3), 2θ 28.9, rel. 100.0
- (2 4 2), 2θ 39.5, rel. 24.3
- (6 2 1), 2θ 46.9, rel. 14.9
- (0 2 5), 2θ 48.5, rel. 11.9
- (6 4 -4), 2θ 51.8, rel. 12.0